Calculated PXRD pattern
Compound: Y3AgO5
Radiation: λ = 1.5418 Å (Cu Kα)
Structure: a DFT-relaxed cell (GGA-PBE, the Materials Project)

Structure:
Unit cell a=7.3178 b=7.3178 c=27.8677 alpha=90.00 beta=90.00 gamma=120.00
Space group R3m (No. 160, hexagonal axes)
One atom of each set of equivalent atoms:
Y (0.0303, 0.5152, 0.0000)
Y (0.1713, 0.3426, 0.1064)
Y (0.1812, 0.3624, 0.8872)
Ag (0.0000, 0.0000, 0.5534)
Ag (0.0000, 0.0000, 0.7594)
Ag (0.0000, 0.0000, 0.9773)
O (0.0000, 0.0000, 0.1839)
O (0.0000, 0.0000, 0.2939)
O (0.0000, 0.0000, 0.3927)
O (0.0000, 0.0000, 0.4764)
O (0.0000, 0.0000, 0.6772)
O (0.0000, 0.0000, 0.8958)
O (0.0037, 0.5018, 0.4627)
O (0.0384, 0.5192, 0.6929)
O (0.1718, 0.3436, 0.2510)

Top 10 peaks for 10 to 90 degrees two-theta, in order of falling intensity:
hkl 0 2 4, 31.00 deg, rel. 100; hkl 2 0 5, 32.50 deg, rel. 92; hkl 0 0 9, 28.85 deg, rel. 81; hkl 2 2 0, 49.85 deg, rel. 63; hkl 0 2 1, 28.35 deg, rel. 58; hkl 2 2 9, 58.61 deg, rel. 45; hkl 0 2 13, 51.47 deg, rel. 24; hkl 2 0 14, 54.43 deg, rel. 23; hkl 0 2 10, 43.23 deg, rel. 21; hkl 0 4 5, 60.78 deg, rel. 14

***

Calculated PXRD pattern
Compound: YAgO3
Radiation: λ = 1.5418 Å (Cu Kα)
Structure: a DFT-relaxed cell (GGA-PBE, the Materials Project)

Structure:
Unit cell a=6.028 b=7.938 c=5.494 alpha=90.00 beta=90.00 gamma=90.00
Space group Pnma (No. 62)
One atom of each set of equivalent atoms:
Y (0.086, 0.250, 0.031)
Ag (0.000, 0.000, 0.500)
O (0.064, 0.750, 0.351)
O (0.180, 0.572, 0.804)

Top 10 peaks for 10 to 90 degrees two-theta, in order of falling intensity:
hkl 1 2 1, 31.52 deg, rel. 100; hkl 1 2 3, 57.49 deg, rel. 21; hkl 2 0 0, 29.64 deg, rel. 20; hkl 0 0 2, 32.60 deg, rel. 20; hkl 0 4 0, 45.69 deg, rel. 17; hkl 2 0 2, 44.63 deg, rel. 16; hkl 0 4 2, 57.26 deg, rel. 13; hkl 1 1 1, 24.63 deg, rel. 12; hkl 2 4 0, 55.44 deg, rel. 9; hkl 3 1 1, 49.66 deg, rel. 8

***

Calculated PXRD pattern
Compound: ZnAg2O4
Radiation: λ = 1.5418 Å (Cu Kα)
Structure: a DFT-relaxed cell (GGA-PBE, the Materials Project)

Structure:
Unit cell a=9.010 b=9.010 c=9.010 alpha=90.00 beta=90.00 gamma=90.00
Space group Fd-3m (No. 227, origin choice 2)
One atom of each set of equivalent atoms:
Zn (0.125, 0.125, 0.125)
Ag (0.000, 0.000, 0.500)
O (0.004, 0.004, 0.746)

Top 10 peaks for 10 to 90 degrees two-theta, in order of falling intensity:
hkl 3 1 1, 32.97 deg, rel. 100; hkl 4 4 0, 57.89 deg, rel. 44; hkl 5 1 1, 52.79 deg, rel. 34; hkl 2 2 2, 34.48 deg, rel. 28; hkl 1 1 1, 17.04 deg, rel. 27; hkl 4 0 0, 40.03 deg, rel. 26; hkl 5 5 3, 82.17 deg, rel. 19; hkl 2 2 0, 28.01 deg, rel. 15; hkl 6 2 2, 69.16 deg, rel. 12; hkl 5 3 3, 68.26 deg, rel. 11

***

Calculated PXRD pattern
Compound: ZnAg2O4
Radiation: λ = 1.5418 Å (Cu Kα)
Structure: a DFT-relaxed cell (GGA-PBE, the Materials Project)

Structure:
Unit cell a=6.429 b=6.429 c=8.716 alpha=90.00 beta=90.00 gamma=90.00
Space group I4_1/a (No. 88, origin choice 2)
One atom of each set of equivalent atoms:
Zn (0.000, 0.250, 0.125)
Ag (0.000, 0.000, 0.500)
O (0.063, 0.490, 0.267)

Top 10 peaks for 10 to 90 degrees two-theta, in order of falling intensity:
hkl 1 2 1, 32.80 deg, rel. 100; hkl 2 0 2, 34.68 deg, rel. 43; hkl 1 0 3, 33.86 deg, rel. 37; hkl 1 0 1, 17.14 deg, rel. 34; hkl 2 2 4, 58.70 deg, rel. 34; hkl 2 3 1, 52.37 deg, rel. 23; hkl 2 2 0, 39.65 deg, rel. 20; hkl 4 0 0, 57.32 deg, rel. 17; hkl 4 2 2, 68.76 deg, rel. 16; hkl 1 1 2, 28.37 deg, rel. 13

***

Calculated PXRD pattern
Compound: ZnAg2O4
Radiation: λ = 1.5418 Å (Cu Kα)
Structure: a DFT-relaxed cell (GGA-PBE, the Materials Project)

Structure:
Unit cell a=6.4355 b=6.4355 c=15.2848 alpha=90.00 beta=90.00 gamma=120.00
Space group R3m (No. 160, hexagonal axes)
One atom of each set of equivalent atoms:
Zn (0.0000, 0.0000, 0.0000)
Zn (0.0000, 0.0000, 0.3817)
Ag (0.0000, 0.0000, 0.6173)
Ag (0.1677, 0.3354, 0.8320)
O (0.0000, 0.0000, 0.2526)
O (0.0000, 0.0000, 0.7535)
O (0.0245, 0.5123, 0.7526)
O (0.1873, 0.3746, 0.5740)

Top 10 peaks for 10 to 90 degrees two-theta, in order of falling intensity:
hkl 1 1 3, 32.92 deg, rel. 100; hkl 0 2 1, 32.66 deg, rel. 90; hkl 0 1 5, 33.43 deg, rel. 55; hkl 2 2 0, 57.26 deg, rel. 51; hkl 2 0 8, 58.58 deg, rel. 46; hkl 2 0 2, 34.25 deg, rel. 44; hkl 1 0 4, 28.32 deg, rel. 42; hkl 0 2 4, 40.05 deg, rel. 39; hkl 1 2 5, 52.78 deg, rel. 35; hkl 0 3 3, 52.42 deg, rel. 26

***

Calculated PXRD pattern
Compound: ZnAg2O4
Radiation: λ = 1.5418 Å (Cu Kα)
Structure: a DFT-relaxed cell (GGA-PBE, the Materials Project)

Structure:
Unit cell a=6.4068 b=6.4068 c=15.3618 alpha=90.00 beta=90.00 gamma=120.00
Space group P3m1 (No. 156)
One atom of each set of equivalent atoms:
Zn (0.0000, 0.0000, 0.0000)
Zn (0.0000, 0.0000, 0.2400)
Zn (0.0000, 0.0000, 0.6184)
Zn (0.3333, 0.6667, 0.5719)
Zn (0.6667, 0.3333, 0.2858)
Zn (0.6667, 0.3333, 0.9071)
Ag (0.1650, 0.3300, 0.7867)
Ag (0.3317, 0.1658, 0.4535)
Ag (0.3333, 0.6667, 0.3302)
Ag (0.3333, 0.6667, 0.9547)
Ag (0.5028, 0.0056, 0.1207)
Ag (0.6667, 0.3333, 0.6657)
O (0.0000, 0.0000, 0.3703)
O (0.0000, 0.0000, 0.8737)
O (0.0159, 0.5079, 0.8620)
O (0.1539, 0.3078, 0.5331)
O (0.1715, 0.3430, 0.0415)
O (0.2906, 0.1453, 0.7111)
O (0.3333, 0.6667, 0.1909)
O (0.3333, 0.6667, 0.7000)
O (0.3538, 0.1769, 0.2052)
O (0.5211, 0.0423, 0.3786)
O (0.6667, 0.3333, 0.0383)
O (0.6667, 0.3333, 0.5304)

Top 10 peaks for 10 to 90 degrees two-theta, in order of falling intensity:
hkl 1 1 3, 32.98 deg, rel. 100; hkl 2 0 1, 32.80 deg, rel. 73; hkl 1 0 5, 33.34 deg, rel. 52; hkl 2 2 0, 57.54 deg, rel. 48; hkl 0 2 8, 58.45 deg, rel. 45; hkl 0 2 2, 34.37 deg, rel. 43; hkl 2 0 4, 40.10 deg, rel. 43; hkl 2 1 5, 52.86 deg, rel. 32; hkl 0 1 4, 28.26 deg, rel. 31; hkl 3 0 3, 52.61 deg, rel. 26

***

Calculated PXRD pattern
Compound: ZnAg2O4
Radiation: λ = 1.5418 Å (Cu Kα)
Structure: a DFT-relaxed cell (GGA-PBE, the Materials Project)

Structure:
Unit cell a=5.593 b=6.334 c=11.029 alpha=78.03 beta=88.54 gamma=89.78
Space group P-1 (No. 2)
One atom of each set of equivalent atoms:
Zn (0.008, 0.252, 0.250)
Zn (0.301, 0.248, 0.750)
Ag (0.045, 0.732, 0.031)
Ag (0.048, 0.770, 0.465)
Ag (0.500, 0.000, 0.000)
Ag (0.500, 0.000, 0.500)
Ag (0.500, 0.500, 0.000)
Ag (0.500, 0.500, 0.500)
O (0.125, 0.036, 0.673)
O (0.138, 0.466, 0.831)
O (0.213, 0.557, 0.604)
O (0.222, 0.953, 0.895)
O (0.234, 0.278, 0.088)
O (0.237, 0.218, 0.414)
O (0.396, 0.709, 0.115)
O (0.409, 0.790, 0.382)

Top 10 peaks for 10 to 90 degrees two-theta, in order of falling intensity:
hkl 0 0 2, 16.44 deg, rel. 100; hkl 1 2 0, 33.06 deg, rel. 77; hkl 0 0 4, 33.23 deg, rel. 36; hkl 2 0 0, 32.02 deg, rel. 30; hkl -1 2 2, 34.41 deg, rel. 29; hkl 1 2 2, 34.05 deg, rel. 29; hkl 1 2 4, 42.49 deg, rel. 23; hkl -1 2 4, 43.12 deg, rel. 22; hkl 2 0 2, 35.80 deg, rel. 22; hkl 3 -2 0, 57.73 deg, rel. 21

***

Calculated PXRD pattern
Compound: ZnAg2O4
Radiation: λ = 1.5418 Å (Cu Kα)
Structure: a DFT-relaxed cell (GGA-PBE, the Materials Project)

Structure:
Unit cell a=6.461 b=6.762 c=8.227 alpha=90.00 beta=90.00 gamma=90.00
Space group Imma (No. 74)
One atom of each set of equivalent atoms:
Zn (0.250, 0.250, 0.250)
Ag (0.000, 0.000, 0.000)
Ag (0.000, 0.250, 0.651)
O (0.000, 0.050, 0.250)
O (0.210, 0.250, 0.990)

Top 10 peaks for 10 to 90 degrees two-theta, in order of falling intensity:
hkl 1 2 1, 31.79 deg, rel. 100; hkl 2 1 1, 32.59 deg, rel. 74; hkl 1 0 3, 35.56 deg, rel. 67; hkl 2 2 4, 59.92 deg, rel. 53; hkl 1 1 2, 28.92 deg, rel. 50; hkl 0 2 2, 34.33 deg, rel. 36; hkl 3 2 1, 51.53 deg, rel. 33; hkl 2 0 0, 27.61 deg, rel. 31; hkl 2 3 1, 50.61 deg, rel. 31; hkl 0 1 3, 35.32 deg, rel. 29

***

Calculated PXRD pattern
Compound: ZnAg2O4
Radiation: λ = 1.5418 Å (Cu Kα)
Structure: a DFT-relaxed cell (GGA-PBE, the Materials Project)

Structure:
Unit cell a=10.892 b=6.495 c=15.503 alpha=90.00 beta=91.05 gamma=90.00
Space group Cm (No. 8)
One atom of each set of equivalent atoms:
Zn (0.000, 0.000, 0.000)
Zn (0.000, 0.500, 0.496)
Zn (0.166, 0.500, 0.661)
Zn (0.168, 0.000, 0.165)
Zn (0.334, 0.000, 0.330)
Zn (0.489, 0.000, 0.873)
Ag (0.009, 0.500, 0.120)
Ag (0.084, 0.250, 0.330)
Ag (0.157, 0.000, 0.540)
Ag (0.173, 0.000, 0.787)
Ag (0.249, 0.247, 0.997)
Ag (0.324, 0.500, 0.209)
Ag (0.333, 0.500, 0.831)
Ag (0.343, 0.500, 0.453)
Ag (0.418, 0.245, 0.664)
O (0.000, 0.500, 0.743)
O (0.004, 0.500, 0.259)
O (0.014, 0.000, 0.253)
O (0.070, 0.286, 0.588)
O (0.098, 0.217, 0.076)
O (0.153, 0.500, 0.407)
O (0.163, 0.500, 0.915)
O (0.164, 0.000, 0.402)
O (0.169, 0.000, 0.929)
O (0.237, 0.215, 0.254)
O (0.266, 0.284, 0.742)
O (0.324, 0.000, 0.079)
O (0.330, 0.500, 0.063)
O (0.338, 0.500, 0.593)
O (0.346, 0.000, 0.585)
O (0.408, 0.268, 0.917)
O (0.430, 0.215, 0.407)
O (0.489, 0.500, 0.739)

Top 10 peaks for 10 to 90 degrees two-theta, in order of falling intensity:
hkl 4 0 -1, 33.37 deg, rel. 100; hkl 2 0 -5, 32.96 deg, rel. 98; hkl 0 2 3, 32.56 deg, rel. 92; hkl 2 2 1, 32.67 deg, rel. 75; hkl 1 1 5, 33.19 deg, rel. 55; hkl 2 2 -8, 57.68 deg, rel. 54; hkl 6 2 0, 58.23 deg, rel. 52; hkl 3 1 0, 28.16 deg, rel. 48; hkl 2 2 -2, 34.06 deg, rel. 46; hkl 4 2 5, 53.23 deg, rel. 41

***

Calculated PXRD pattern
Compound: ZnAg2O4
Radiation: λ = 1.5418 Å (Cu Kα)
Structure: a DFT-relaxed cell (GGA-PBE, the Materials Project)

Structure:
Unit cell a=9.744 b=3.111 c=11.014 alpha=90.00 beta=90.00 gamma=90.00
Space group Pnma (No. 62)
One atom of each set of equivalent atoms:
Zn (0.238, 0.250, 0.159)
Ag (0.069, 0.750, 0.887)
Ag (0.085, 0.750, 0.393)
O (0.025, 0.250, 0.278)
O (0.118, 0.250, 0.533)
O (0.128, 0.750, 0.072)
O (0.228, 0.250, 0.792)

Top 10 peaks for 10 to 90 degrees two-theta, in order of falling intensity:
hkl 3 0 2, 31.99 deg, rel. 100; hkl 1 1 2, 34.36 deg, rel. 87; hkl 0 0 4, 32.52 deg, rel. 36; hkl 2 1 0, 34.20 deg, rel. 33; hkl 2 1 4, 47.91 deg, rel. 30; hkl 4 1 0, 47.41 deg, rel. 30; hkl 4 1 4, 58.66 deg, rel. 22; hkl 3 2 2, 69.09 deg, rel. 20; hkl 1 1 6, 59.21 deg, rel. 15; hkl 1 1 3, 39.06 deg, rel. 14